Starting from a structure optimized by DFT (GGA-PBE), the powder diffraction line list of Cs5AlSe4 was simulated for copper Kα.
No peak broadening, texture or thermal motion is included.

Structure:
abc: 9.996 10.850 8.558
angles: 90.00 90.00 90.00
Element x y z (fractional)
Cs 0.012 0.060 0.231
Cs 0.012 0.440 0.231
Cs 0.250 0.750 0.376
Cs 0.488 0.060 0.231
Cs 0.488 0.440 0.231
Cs 0.512 0.560 0.769
Cs 0.512 0.940 0.769
Cs 0.750 0.250 0.624
Cs 0.988 0.560 0.769
Cs 0.988 0.940 0.769
Al 0.250 0.250 0.709
Al 0.750 0.750 0.291
Se 0.047 0.250 0.872
Se 0.250 0.063 0.545
Se 0.250 0.437 0.545
Se 0.453 0.250 0.872
Se 0.547 0.750 0.128
Se 0.750 0.563 0.455
Se 0.750 0.937 0.455
Se 0.953 0.750 0.128

The 10 most intense peaks (10 to 90 degrees two-theta), in order of rising 2θ:
d [Å]  intensity
4.998  33.4
4.316  73.4
4.279  34.3
4.010  37.8
3.331  100.0
3.250  82.4
2.788  66.1
2.772  64.6
2.499  40.3
1.999  34.1

---

Starting from a structure optimized by DFT (GGA-PBE), the powder diffraction line list of Tb2PbAu was simulated for copper Kα.
No peak broadening, texture or thermal motion is included.

Structure:
abc: 11.953 11.953 4.982
angles: 90.00 90.00 161.89
Element x y z (fractional)
Tb 0.059 0.941 0.750
Tb 0.331 0.669 0.750
Tb 0.669 0.331 0.250
Tb 0.941 0.059 0.250
Pb 0.195 0.805 0.750
Pb 0.805 0.195 0.250
Au 0.459 0.541 0.750
Au 0.541 0.459 0.250

The 10 most intense peaks (10 to 90 degrees two-theta), in order of rising 2θ:
d [Å]  intensity
2.979  100.0
2.951  36.3
2.537  31.2
2.491  41.6
2.243  78.3
1.904  21.0
1.881  18.3
1.501  17.7
1.385  17.2
1.254  15.0

---

Starting from a structure optimized by DFT (GGA-PBE), the powder diffraction line list of Rb3HoAg2Br8 was simulated for copper Kα.
No peak broadening, texture or thermal motion is included.

Structure:
abc: 7.851 7.851 10.258
angles: 90.00 90.00 120.00
Element x y z (fractional)
Rb 0.000 0.000 0.000
Rb 0.333 0.667 0.616
Rb 0.667 0.333 0.384
Ho 0.000 0.000 0.500
Ag 0.333 0.667 0.181
Ag 0.667 0.333 0.819
Br 0.164 0.329 0.339
Br 0.164 0.836 0.339
Br 0.329 0.164 0.661
Br 0.333 0.667 0.935
Br 0.667 0.333 0.065
Br 0.671 0.836 0.339
Br 0.836 0.164 0.661
Br 0.836 0.671 0.661

The 10 most intense peaks (10 to 90 degrees two-theta), in order of rising 2θ:
d [Å]  intensity
5.668  58.6
4.095  26.8
3.926  100.0
3.227  34.0
3.117  24.9
2.834  95.5
2.411  27.0
2.267  22.6
2.047  52.4
1.963  68.6

---

Starting from a structure optimized by DFT (GGA-PBE), the powder diffraction line list of ErAgPd5 was simulated for copper Kα.
No peak broadening, texture or thermal motion is included.

Structure:
abc: 5.981 5.981 5.981
angles: 129.12 126.66 76.82
Element x y z (fractional)
Er 0.000 0.000 0.000
Ag 0.210 0.710 0.500
Pd 0.000 0.256 0.744
Pd 0.482 0.230 0.748
Pd 0.482 0.734 0.252
Pd 0.511 0.256 0.256
Pd 0.729 0.729 0.000

The 10 most intense peaks (10 to 90 degrees two-theta), in order of rising 2θ:
d [Å]  intensity
2.910  21.2
2.685  22.9
2.669  29.2
2.569  20.2
2.343  59.8
2.329  31.4
2.306  81.0
2.251  100.0
1.893  49.0
1.861  23.7

---

Starting from a structure optimized by DFT (GGA-PBE), the powder diffraction line list of In2Pd5 was simulated for copper Kα.
No peak broadening, texture or thermal motion is included.

Structure:
abc: 7.679 7.679 7.679
angles: 129.00 69.93 135.55
Element x y z (fractional)
In 0.115 0.210 0.325
In 0.385 0.710 0.095
In 0.615 0.290 0.905
In 0.885 0.790 0.675
Pd 0.020 0.750 0.270
Pd 0.109 0.795 0.904
Pd 0.250 0.750 0.500
Pd 0.391 0.295 0.686
Pd 0.480 0.750 0.730
Pd 0.520 0.250 0.270
Pd 0.609 0.705 0.314
Pd 0.750 0.250 0.500
Pd 0.891 0.205 0.096
Pd 0.980 0.250 0.730

The 10 most intense peaks (10 to 90 degrees two-theta), in order of rising 2θ:
d [Å]  intensity
2.602  33.6
2.352  29.3
2.279  99.2
2.182  100.0
2.171  28.3
2.134  96.6
1.440  29.0
1.307  18.4
1.276  18.9
1.225  26.0

---

Starting from a structure optimized by DFT (GGA-PBE), the powder diffraction line list of KZnBP2O8 was simulated for copper Kα.
No peak broadening, texture or thermal motion is included.

Structure:
abc: 9.161 9.161 8.513
angles: 90.80 90.80 90.35
Element x y z (fractional)
K 0.029 0.971 0.750
K 0.404 0.596 0.750
K 0.596 0.404 0.250
K 0.971 0.029 0.250
Zn 0.070 0.685 0.440
Zn 0.315 0.930 0.060
Zn 0.685 0.070 0.940
Zn 0.930 0.315 0.560
B 0.202 0.422 0.072
B 0.422 0.202 0.572
B 0.578 0.798 0.428
B 0.798 0.578 0.928
P 0.055 0.689 0.059
P 0.224 0.387 0.406
P 0.311 0.945 0.441
P 0.387 0.224 0.906
P 0.613 0.776 0.094
P 0.689 0.055 0.559
P 0.776 0.613 0.594
P 0.945 0.311 0.941
O 0.004 0.328 0.776
O 0.071 0.330 0.066
O 0.095 0.281 0.416
O 0.120 0.840 0.026
O 0.160 0.880 0.474
O 0.176 0.574 0.019
O 0.202 0.529 0.501
O 0.264 0.424 0.233
O 0.281 0.095 0.916
O 0.319 0.372 0.966
O 0.328 0.004 0.276
O 0.330 0.071 0.566
O 0.372 0.319 0.466
O 0.424 0.264 0.733
O 0.426 0.824 0.481
O 0.471 0.798 0.999
O 0.529 0.202 0.001
O 0.574 0.176 0.519
O 0.576 0.736 0.267
O 0.628 0.681 0.534
O 0.670 0.929 0.434
O 0.672 0.996 0.724
O 0.681 0.628 0.034
O 0.719 0.905 0.084
O 0.736 0.576 0.767
O 0.798 0.471 0.499
O 0.824 0.426 0.981
O 0.840 0.120 0.526
O 0.880 0.160 0.974
O 0.905 0.719 0.584
O 0.929 0.670 0.934
O 0.996 0.672 0.224

The 10 most intense peaks (10 to 90 degrees two-theta), in order of rising 2θ:
d [Å]  intensity
6.192  79.8
4.256  100.0
4.107  56.6
3.710  95.3
3.560  75.5
3.053  63.0
3.035  53.2
2.964  59.9
2.891  74.7
2.548  56.8

---

Starting from a structure optimized by DFT (GGA-PBE), the powder diffraction line list of Th4ZnB3Rh12 was simulated for copper Kα.
No peak broadening, texture or thermal motion is included.

Structure:
abc: 7.532 7.532 7.532
angles: 109.47 109.47 109.47
Element x y z (fractional)
Th 0.000 0.000 0.500
Th 0.000 0.500 0.000
Th 0.500 0.000 0.000
Th 0.500 0.500 0.500
Zn 0.000 0.000 0.000
B 0.000 0.500 0.500
B 0.500 0.000 0.500
B 0.500 0.500 0.000
Rh 0.000 0.272 0.272
Rh 0.000 0.728 0.728
Rh 0.250 0.500 0.750
Rh 0.250 0.750 0.500
Rh 0.272 0.000 0.272
Rh 0.272 0.272 0.000
Rh 0.500 0.250 0.750
Rh 0.500 0.750 0.250
Rh 0.728 0.000 0.728
Rh 0.728 0.728 0.000
Rh 0.750 0.250 0.500
Rh 0.750 0.500 0.250

The 10 most intense peaks (10 to 90 degrees two-theta), in order of rising 2θ:
d [Å]  intensity
4.349  8.6
3.075  20.6
2.511  100.0
2.174  58.7
1.945  5.8
1.775  8.0
1.537  38.1
1.311  36.9
1.255  12.5
1.162  5.3

---

Copy entry 2 word for word.
Starting from a structure optimized by DFT (GGA-PBE), the powder diffraction line list of Tb2PbAu was simulated for copper Kα.
No peak broadening, texture or thermal motion is included.

Structure:
abc: 11.953 11.953 4.982
angles: 90.00 90.00 161.89
Element x y z (fractional)
Tb 0.059 0.941 0.750
Tb 0.331 0.669 0.750
Tb 0.669 0.331 0.250
Tb 0.941 0.059 0.250
Pb 0.195 0.805 0.750
Pb 0.805 0.195 0.250
Au 0.459 0.541 0.750
Au 0.541 0.459 0.250

The 10 most intense peaks (10 to 90 degrees two-theta), in order of rising 2θ:
d [Å]  intensity
2.979  100.0
2.951  36.3
2.537  31.2
2.491  41.6
2.243  78.3
1.904  21.0
1.881  18.3
1.501  17.7
1.385  17.2
1.254  15.0